Calculated powder X-ray diffraction pattern of K2BaNa10 for λ = 1.5418 Å (Cu Kα), from a cell relaxed with GGA-PBE.
No peak broadening, texture or thermal motion is included.

Cell and atoms:
```
data_K2BaNa10
_symmetry_space_group_name_H-M 'P b a m'
_symmetry_Int_Tables_number 55
_symmetry_space_group_name_Hall '-P 2 2ab'
_cell_length_a 10.8695
_cell_length_b 18.1930
_cell_length_c 6.9018
_cell_angle_alpha 90.00
_cell_angle_beta 90.00
_cell_angle_gamma 90.00
loop_
_atom_site_label
_atom_site_fract_x
_atom_site_fract_y
_atom_site_fract_z
K1 0.2271 0.0883 0.0000
Ba1 0.0000 0.5000 0.5000
Na1 0.0310 0.1687 0.5000
Na2 0.1530 0.6869 0.5000
Na3 0.1538 0.9828 0.5000
Na4 0.1750 0.3319 0.2450
```

Most intense lines, 2θ from 5° to 70°, by angle:
hkl, 2θ (°), I (rel.)
1 1 0, 9.48, 100
0 0 1, 12.83, 94
2 0 1, 20.80, 86
3 3 0, 28.70, 100
3 3 1, 31.55, 89
0 6 1, 32.25, 64